# CePr3Fe34
Computed powder XRD pattern, Cu Kα X-rays. Input: a GGA-PBE-relaxed structure.
Neutral-atom scattering factors, no anomalous dispersion.

Atomic structure:
abc: 6.414 6.414 12.763
angles: 97.53 97.53 82.60
Sites, in units of the cell vectors:
Ce 0.000 0.000 0.000
Pr 0.007 0.007 0.507
Pr 0.313 0.313 0.841
Pr 0.319 0.319 0.348
Fe 0.001 0.001 0.750
Fe 0.158 0.657 0.174
Fe 0.161 0.662 0.675
Fe 0.316 0.316 0.094
Fe 0.320 0.814 0.346
Fe 0.322 0.322 0.600
Fe 0.322 0.817 0.841
Fe 0.362 0.658 0.024
Fe 0.362 0.952 0.172
Fe 0.370 0.660 0.532
Fe 0.387 0.939 0.677
Fe 0.504 0.997 0.002
Fe 0.506 0.998 0.509
Fe 0.563 0.563 0.220
Fe 0.568 0.568 0.722
Fe 0.657 0.158 0.174
Fe 0.657 0.657 0.921
Fe 0.658 0.362 0.024
Fe 0.658 0.948 0.320
Fe 0.660 0.370 0.532
Fe 0.661 0.661 0.428
Fe 0.662 0.161 0.675
Fe 0.667 0.960 0.824
Fe 0.754 0.754 0.125
Fe 0.755 0.755 0.630
Fe 0.814 0.320 0.346
Fe 0.817 0.322 0.841
Fe 0.939 0.387 0.677
Fe 0.948 0.658 0.320
Fe 0.952 0.362 0.172
Fe 0.960 0.667 0.824
Fe 0.997 0.504 0.002
Fe 0.998 0.506 0.509
Fe 0.999 0.999 0.252

Peak list (6 most intense, 2θ = 10–80°, low angle first)
- 2.963 Å, 30.16 deg, I = 34
- 2.441 Å, 36.82 deg, I = 36
- 2.370 Å, 37.96 deg, I = 35
- 2.107 Å, 42.92 deg, I = 100
- 2.102 Å, 43.03 deg, I = 68
- 2.075 Å, 43.61 deg, I = 46